Diffraction record for Cs8Au2Se3. The powder diffractogram is simulated, not measured: it uses a GGA-PBE-relaxed structure and Cu Kα, 1.54184 Å.
Intensities are scaled so that the largest is 1000.

a = 10.868 Å, b = 6.042 Å, c = 10.868 Å
α = 90.00°, β = 108.92°, γ = 90.00°
Space group P2/m (No. 10)
One atom of each set of equivalent atoms:
1 Cs 0.106 0.000 0.394 x2
2 Cs 0.120 0.500 0.842 x2
3 Cs 0.342 0.500 0.620 x2
4 Cs 0.380 0.000 0.120 x2
5 Au 0.260 0.500 0.241 x2
6 Se 0.000 0.500 0.500 x1
7 Se 0.278 0.000 0.778 x2

Peak list (8 most intense, 10° ≤ 2θ ≤ 90°, by angle)
d [Å]	2theta	intensity
5.140	17.25	151
4.989	17.78	130
3.159	28.25	262
3.107	28.73	1000
3.021	29.57	262
2.183	41.35	186
1.813	50.33	236
1.760	51.95	192